PuVO3: calculated X-ray powder pattern (Cu Kα (weighted mean of Kα1 and Kα2)), based on a cell relaxed with GGA+U.
Lines closer than 0.1° are merged.

Cell and atoms:
Unit cell a=6.302 b=5.470 c=7.317 alpha=90.00 beta=97.00 gamma=90.00
Fractional positions:
Pu1 0.136 0.226 0.165
Pu2 0.136 0.274 0.665
Pu3 0.864 0.726 0.335
Pu4 0.864 0.774 0.835
V1 0.413 0.743 0.070
V2 0.413 0.757 0.570
V3 0.587 0.243 0.430
V4 0.587 0.257 0.930
O1 0.101 0.684 0.612
O2 0.101 0.816 0.112
O3 0.299 0.081 0.448
O4 0.299 0.419 0.948
O5 0.453 0.576 0.330
O6 0.453 0.924 0.830
O7 0.547 0.076 0.170
O8 0.547 0.424 0.670
O9 0.701 0.581 0.052
O10 0.701 0.919 0.552
O11 0.899 0.184 0.888
O12 0.899 0.316 0.388

Main lines, in order of rising 2θ (2θ = 10–90°):
| 2θ/deg | d (Å) | I_rel |
| --- | --- | --- |
| 14.16 | 6.255 | 52 |
| 21.58 | 4.118 | 87 |
| 29.53 | 3.025 | 44 |
| 29.92 | 2.986 | 68 |
| 31.51 | 2.839 | 100 |
| 32.74 | 2.735 | 54 |
| 32.99 | 2.715 | 100 |
| 35.53 | 2.527 | 28 |
| 44.94 | 2.017 | 50 |
| 53.15 | 1.723 | 26 |